Entry 1:
Calculated XRD peak list
Compound: SmLu2Pb7
Radiation: λ = 1.5418 Å (Cu Kα)
Structure: a DFT-relaxed cell (GGA-PBE, OQMD)

Top 8 peaks for 10° ≤ 2θ ≤ 80°, sorted by position:
hkl 1 5 1, 2θ 32.12, d = 2.786 Å, intensity 100
hkl 0 10 0, 2θ 35.09, d = 2.557 Å, intensity 19
hkl 2 0 0, 2θ 38.05, d = 2.365 Å, intensity 16
hkl 0 0 2, 2θ 38.57, d = 2.334 Å, intensity 16
hkl 2 10 0, 2θ 52.72, d = 1.736 Å, intensity 12
hkl 1 15 1, 2θ 61.09, d = 1.517 Å, intensity 14
hkl 3 5 1, 2θ 65.04, d = 1.434 Å, intensity 14
hkl 1 5 3, 2θ 65.76, d = 1.420 Å, intensity 13

Structural model:
Cell: 4.730 25.572 4.668 Å, 90.00 90.00 90.00°
Space group Cmmm (No. 65)
Unique sites:
Sm (0.000, 0.000, 0.000) (multiplicity 2)
Lu (0.000, 0.191, 0.000) (multiplicity 4)
Pb (0.000, 0.100, 0.500) (multiplicity 4)
Pb (0.000, 0.294, 0.500) (multiplicity 4)
Pb (0.000, 0.400, 0.000) (multiplicity 4)
Pb (0.000, 0.500, 0.500) (multiplicity 2)

Entry 2:
Calculated XRD peak list
Compound: RbLuTe3Pd
Radiation: λ = 1.5418 Å (Cu Kα)
Structure: a DFT-relaxed cell (GGA-PBE, OQMD)

Top 8 peaks for 10° ≤ 2θ ≤ 80°, sorted by position:
hkl 1 3 1, 2θ 26.59, d = 3.353 Å, intensity 85
hkl 0 2 3, 2θ 28.43, d = 3.139 Å, intensity 48
hkl 1 3 2, 2θ 30.81, d = 2.902 Å, intensity 84
hkl 1 5 2, 2θ 36.71, d = 2.448 Å, intensity 100
hkl 0 8 0, 2θ 39.53, d = 2.280 Å, intensity 22
hkl 2 0 0, 2θ 41.13, d = 2.195 Å, intensity 58
hkl 1 7 2, 2θ 44.28, d = 2.045 Å, intensity 29
hkl 2 2 3, 2θ 50.78, d = 1.798 Å, intensity 19

Structural model:
Cell: 4.387 18.239 10.031 Å, 90.00 90.00 90.00°
Space group Cmcm (No. 63)
Unique sites:
Rb (0.000, 0.245, 0.250) (multiplicity 4)
Lu (0.000, 0.000, 0.000) (multiplicity 4)
Te (0.000, 0.094, 0.750) (multiplicity 4)
Te (0.000, 0.392, 0.582) (multiplicity 8)
Pd (0.000, 0.496, 0.250) (multiplicity 4)

Entry 3:
Calculated XRD peak list
Compound: RbLuTe3Pd
Radiation: λ = 1.5418 Å (Cu Kα)
Structure: a DFT-relaxed cell (GGA-PBE, OQMD)

Top 8 peaks for 10° ≤ 2θ ≤ 80°, sorted by position:
hkl 2 0 0, 2θ 10.55, d = 8.386 Å, intensity 100
hkl 2 0 3, 2θ 25.88, d = 3.442 Å, intensity 24
hkl 3 1 1, 2θ 27.28, d = 3.269 Å, intensity 69
hkl 3 1 2, 2θ 30.57, d = 2.924 Å, intensity 33
hkl 2 0 4, 2θ 33.39, d = 2.683 Å, intensity 30
hkl 5 1 2, 2θ 37.50, d = 2.398 Å, intensity 33
hkl 5 1 3, 2θ 41.67, d = 2.167 Å, intensity 21
hkl 0 2 0, 2θ 41.90, d = 2.156 Å, intensity 25

Structural model:
Cell: 16.773 4.312 11.324 Å, 90.00 90.00 90.00°
Space group Pnma (No. 62)
Unique sites:
Rb (0.231, 0.250, 0.038) (multiplicity 4)
Lu (0.027, 0.250, 0.345) (multiplicity 4)
Te (0.072, 0.750, 0.891) (multiplicity 4)
Te (0.095, 0.250, 0.589) (multiplicity 4)
Te (0.142, 0.750, 0.267) (multiplicity 4)
Pd (0.019, 0.750, 0.114) (multiplicity 4)

Entry 4:
Calculated XRD peak list
Compound: LuSiPd2
Radiation: λ = 1.5418 Å (Cu Kα)
Structure: a DFT-relaxed cell (GGA-PBE, OQMD)

Top 8 peaks for 10° ≤ 2θ ≤ 80°, sorted by position:
hkl 2 1 1, 2θ 32.53, d = 2.752 Å, intensity 71
hkl 1 2 1, 2θ 32.89, d = 2.723 Å, intensity 78
hkl 1 0 2, 2θ 35.20, d = 2.549 Å, intensity 46
hkl 2 2 0, 2θ 35.89, d = 2.502 Å, intensity 94
hkl 1 1 2, 2θ 37.55, d = 2.395 Å, intensity 100
hkl 3 0 1, 2θ 41.28, d = 2.187 Å, intensity 67
hkl 1 3 1, 2θ 44.10, d = 2.054 Å, intensity 37
hkl 3 3 2, 2θ 65.61, d = 1.423 Å, intensity 36

Structural model:
Cell: 7.162 6.994 5.456 Å, 90.00 90.00 90.00°
Space group Pnma (No. 62)
Unique sites:
Lu (0.025, 0.250, 0.139) (multiplicity 4)
Si (0.121, 0.750, 0.363) (multiplicity 4)
Pd (0.180, 0.051, 0.594) (multiplicity 8)

Entry 5:
Calculated XRD peak list
Compound: LuTaSn2Pd2
Radiation: λ = 1.5418 Å (Cu Kα)
Structure: a DFT-relaxed cell (GGA-PBE, OQMD)

Top 8 peaks for 10° ≤ 2θ ≤ 80°, sorted by position:
hkl 1 0 1, 2θ 24.27, d = 3.667 Å, intensity 27
hkl 0 0 2, 2θ 28.01, d = 3.186 Å, intensity 11
hkl 1 2 0, 2θ 28.15, d = 3.170 Å, intensity 23
hkl 1 2 2, 2θ 40.13, d = 2.247 Å, intensity 100
hkl 2 0 0, 2θ 40.31, d = 2.238 Å, intensity 20
hkl 2 4 0, 2θ 58.20, d = 1.585 Å, intensity 13
hkl 2 0 4, 2θ 72.93, d = 1.297 Å, intensity 20
hkl 3 2 2, 2θ 73.15, d = 1.294 Å, intensity 14

Structural model:
Cell: 4.475 8.983 6.372 Å, 90.00 90.00 90.00°
Space group Pmn2_1 (No. 31)
Unique sites:
Lu (0.000, 0.122, 0.000) (multiplicity 2)
Ta (0.000, 0.626, 0.999) (multiplicity 2)
Sn (0.000, 0.130, 0.507) (multiplicity 2)
Sn (0.000, 0.623, 0.492) (multiplicity 2)
Pd (0.000, 0.386, 0.743) (multiplicity 2)
Pd (0.000, 0.862, 0.757) (multiplicity 2)

Entry 6:
Calculated XRD peak list
Compound: Lu2Te2Pd3
Radiation: λ = 1.5418 Å (Cu Kα)
Structure: a DFT-relaxed cell (GGA-PBE, OQMD)

Top 8 peaks for 10° ≤ 2θ ≤ 80°, sorted by position:
hkl 1 2 1, 2θ 29.81, d = 2.997 Å, intensity 100
hkl 2 0 0, 2θ 30.96, d = 2.888 Å, intensity 32
hkl 0 2 2, 2θ 35.62, d = 2.521 Å, intensity 64
hkl 2 2 0, 2θ 37.73, d = 2.385 Å, intensity 33
hkl 2 2 1, 2θ 40.46, d = 2.229 Å, intensity 41
hkl 2 0 2, 2θ 42.53, d = 2.126 Å, intensity 56
hkl 0 4 0, 2θ 42.79, d = 2.113 Å, intensity 35
hkl 2 4 2, 2θ 61.92, d = 1.499 Å, intensity 33

Structural model:
Cell: 5.776 8.452 6.281 Å, 90.00 90.00 90.00°
Space group Pmmn (No. 59, origin choice 2)
Unique sites:
Lu (0.250, 0.250, 0.222) (multiplicity 2)
Lu (0.250, 0.750, 0.266) (multiplicity 2)
Te (0.250, 0.042, 0.645) (multiplicity 4)
Pd (0.000, 0.000, 0.000) (multiplicity 4)
Pd (0.250, 0.750, 0.800) (multiplicity 2)

Entry 7:
Calculated XRD peak list
Compound: Tm4Lu3Te2Pd2
Radiation: λ = 1.5418 Å (Cu Kα)
Structure: a DFT-relaxed cell (GGA-PBE, OQMD)

Top 8 peaks for 10° ≤ 2θ ≤ 80°, sorted by position:
hkl 1 3 0, 2θ 28.77, d = 3.103 Å, intensity 32
hkl 1 1 2, 2θ 30.25, d = 2.954 Å, intensity 50
hkl 0 3 3, 2θ 33.18, d = 2.700 Å, intensity 63
hkl 1 4 1, 2θ 34.09, d = 2.630 Å, intensity 100
hkl 1 3 2, 2θ 34.53, d = 2.597 Å, intensity 49
hkl 1 0 3, 2θ 36.56, d = 2.458 Å, intensity 24
hkl 2 0 0, 2θ 46.76, d = 1.943 Å, intensity 29
hkl 2 3 3, 2θ 58.53, d = 1.577 Å, intensity 25

Structural model:
Cell: 3.885 15.416 9.521 Å, 90.00 90.00 90.00°
Space group Imm2 (No. 44)
Unique sites:
Tm (0.000, 0.130, 0.000) (multiplicity 4)
Tm (0.000, 0.357, 0.850) (multiplicity 4)
Lu (0.000, 0.000, 0.583) (multiplicity 2)
Lu (0.000, 0.317, 0.209) (multiplicity 4)
Te (0.000, 0.000, 0.245) (multiplicity 2)
Te (0.000, 0.500, 0.348) (multiplicity 2)
Pd (0.000, 0.236, 0.515) (multiplicity 4)

Entry 8:
Calculated XRD peak list
Compound: LuZn2Pd
Radiation: λ = 1.5418 Å (Cu Kα)
Structure: a DFT-relaxed cell (GGA-PBE, OQMD)

Top 8 peaks for 10° ≤ 2θ ≤ 80°, sorted by position:
hkl 1 1 1, 2θ 23.60, d = 3.770 Å, intensity 16
hkl 2 0 0, 2θ 27.31, d = 3.265 Å, intensity 3
hkl 2 2 0, 2θ 39.01, d = 2.309 Å, intensity 100
hkl 3 1 1, 2θ 46.10, d = 1.969 Å, intensity 8
hkl 4 0 0, 2θ 56.35, d = 1.633 Å, intensity 17
hkl 3 3 1, 2θ 61.94, d = 1.498 Å, intensity 4
hkl 4 2 2, 2θ 70.66, d = 1.333 Å, intensity 34
hkl 5 1 1, 2θ 75.67, d = 1.257 Å, intensity 3

Structural model:
Cell: 6.531 6.531 6.531 Å, 90.00 90.00 90.00°
Space group F-43m (No. 216)
Unique sites:
Lu (0.000, 0.000, 0.000) (multiplicity 4)
Zn (0.000, 0.000, 0.500) (multiplicity 4)
Zn (0.250, 0.250, 0.250) (multiplicity 4)
Pd (0.250, 0.250, 0.750) (multiplicity 4)

Entry 9:
Calculated XRD peak list
Compound: Lu8Pt
Radiation: λ = 1.5418 Å (Cu Kα)
Structure: a DFT-relaxed cell (GGA-PBE, OQMD)

Top 8 peaks for 10° ≤ 2θ ≤ 80°, sorted by position:
hkl 2 1 0, 2θ 30.66, d = 2.916 Å, intensity 63
hkl 1 1 1, 2θ 32.08, d = 2.790 Å, intensity 100
hkl 2 0 1, 2θ 34.17, d = 2.624 Å, intensity 82
hkl 3 0 0, 2θ 34.88, d = 2.572 Å, intensity 75
hkl 2 1 1, 2θ 39.87, d = 2.261 Å, intensity 56
hkl 3 2 1, 2θ 58.14, d = 1.587 Å, intensity 47
hkl 2 1 2, 2θ 60.75, d = 1.525 Å, intensity 32
hkl 3 0 2, 2θ 63.31, d = 1.469 Å, intensity 27

Structural model:
Cell: 8.9097 8.9097 3.5791 Å, 90.00 90.00 120.00°
Space group P-62m (No. 189)
Unique sites:
Lu (0.0000, 0.2483, 0.0000) (multiplicity 3)
Lu (0.0000, 0.6135, 0.5000) (multiplicity 3)
Lu (0.3333, 0.6667, 0.0000) (multiplicity 2)
Pt (0.0000, 0.0000, 0.5000) (multiplicity 1)

Entry 10:
Calculated XRD peak list
Compound: LuRe2Pt
Radiation: λ = 1.5418 Å (Cu Kα)
Structure: a DFT-relaxed cell (GGA-PBE, OQMD)

Top 3 peaks for 10° ≤ 2θ ≤ 80°, sorted by position:
hkl 2 2 0, 2θ 39.46, d = 2.284 Å, intensity 100
hkl 4 0 0, 2θ 57.03, d = 1.615 Å, intensity 17
hkl 4 2 2, 2θ 71.56, d = 1.319 Å, intensity 35

Structural model:
Cell: 6.459 6.459 6.459 Å, 90.00 90.00 90.00°
Space group F-43m (No. 216)
Unique sites:
Lu (0.000, 0.000, 0.000) (multiplicity 4)
Re (0.000, 0.000, 0.500) (multiplicity 4)
Re (0.250, 0.250, 0.250) (multiplicity 4)
Pt (0.250, 0.250, 0.750) (multiplicity 4)

Entry 11:
Calculated XRD peak list
Compound: Sm2Lu2Pt
Radiation: λ = 1.5418 Å (Cu Kα)
Structure: a DFT-relaxed cell (GGA-PBE, OQMD)

Top 8 peaks for 10° ≤ 2θ ≤ 80°, sorted by position:
hkl 1 1 0, 2θ 17.06, d = 5.197 Å, intensity 35
hkl 1 2 1, 2θ 29.86, d = 2.992 Å, intensity 89
hkl 2 1 0, 2θ 31.80, d = 2.814 Å, intensity 42
hkl 1 3 1, 2θ 34.51, d = 2.599 Å, intensity 100
hkl 0 0 2, 2θ 41.52, d = 2.175 Å, intensity 32
hkl 1 5 1, 2θ 46.71, d = 1.945 Å, intensity 19
hkl 3 1 1, 2θ 52.39, d = 1.747 Å, intensity 31
hkl 2 1 2, 2θ 53.23, d = 1.721 Å, intensity 20

Structural model:
Cell: 5.798 11.725 4.350 Å, 90.00 90.00 90.00°
Space group Pbam (No. 55)
Unique sites:
Sm (0.111, 0.144, 0.000) (multiplicity 4)
Lu (0.138, 0.373, 0.500) (multiplicity 4)
Pt (0.000, 0.500, 0.000) (multiplicity 2)

Entry 12:
Calculated XRD peak list
Compound: TbLuPt2
Radiation: λ = 1.5418 Å (Cu Kα)
Structure: a DFT-relaxed cell (GGA-PBE, OQMD)

Top 8 peaks for 10° ≤ 2θ ≤ 80°, sorted by position:
hkl 1 2 0, 2θ 32.58, d = 2.748 Å, intensity 72
hkl 0 1 2, 2θ 34.93, d = 2.569 Å, intensity 45
hkl 1 2 1, 2θ 36.51, d = 2.461 Å, intensity 100
hkl 2 0 0, 2θ 40.26, d = 2.240 Å, intensity 51
hkl 1 1 2, 2θ 40.48, d = 2.228 Å, intensity 89
hkl 2 1 2, 2θ 54.35, d = 1.688 Å, intensity 26
hkl 0 4 1, 2θ 55.35, d = 1.660 Å, intensity 23
hkl 2 4 1, 2θ 70.63, d = 1.334 Å, intensity 22

Structural model:
Cell: 4.480 6.961 5.527 Å, 90.00 90.00 90.00°
Space group Pmn2_1 (No. 31)
Unique sites:
Tb (0.000, 0.069, 0.000) (multiplicity 2)
Lu (0.000, 0.568, 0.216) (multiplicity 2)
Pt (0.000, 0.217, 0.515) (multiplicity 2)
Pt (0.000, 0.695, 0.701) (multiplicity 2)

Entry 13:
Calculated XRD peak list
Compound: SmLuPu
Radiation: λ = 1.5418 Å (Cu Kα)
Structure: a DFT-relaxed cell (GGA-PBE, OQMD)

Top 8 peaks for 10° ≤ 2θ ≤ 80°, sorted by position:
hkl 1 1 1, 2θ 20.52, d = 4.328 Å, intensity 40
hkl 2 2 0, 2θ 33.82, d = 2.650 Å, intensity 100
hkl 3 1 1, 2θ 39.89, d = 2.260 Å, intensity 23
hkl 4 0 0, 2θ 48.59, d = 1.874 Å, intensity 18
hkl 3 3 1, 2θ 53.27, d = 1.720 Å, intensity 10
hkl 4 2 2, 2θ 60.51, d = 1.530 Å, intensity 38
hkl 5 1 1, 2θ 64.61, d = 1.443 Å, intensity 8
hkl 4 4 0, 2θ 71.16, d = 1.325 Å, intensity 12

Structural model:
Cell: 7.496 7.496 7.496 Å, 90.00 90.00 90.00°
Space group F-43m (No. 216)
Unique sites:
Sm (0.000, 0.000, 0.000) (multiplicity 4)
Lu (0.000, 0.000, 0.500) (multiplicity 4)
Pu (0.250, 0.250, 0.250) (multiplicity 4)

Entry 14:
Calculated XRD peak list
Compound: RbSmLuS3
Radiation: λ = 1.5418 Å (Cu Kα)
Structure: a DFT-relaxed cell (GGA-PBE, OQMD)

Top 8 peaks for 10° ≤ 2θ ≤ 80°, sorted by position:
hkl 0 2 0, 2θ 11.63, d = 7.607 Å, intensity 100
hkl 0 4 0, 2θ 23.39, d = 3.804 Å, intensity 26
hkl 1 1 2, 2θ 26.68, d = 3.341 Å, intensity 58
hkl 1 3 1, 2θ 28.12, d = 3.173 Å, intensity 41
hkl 1 3 2, 2θ 31.52, d = 2.838 Å, intensity 49
hkl 0 0 4, 2θ 32.58, d = 2.748 Å, intensity 28
hkl 1 5 2, 2θ 39.62, d = 2.275 Å, intensity 34
hkl 0 4 4, 2θ 40.50, d = 2.228 Å, intensity 18

Structural model:
Cell: 4.378 15.214 10.993 Å, 90.00 90.00 90.00°
Space group Cmcm (No. 63)
Unique sites:
Rb (0.000, 0.237, 0.250) (multiplicity 4)
Sm (0.000, 0.500, 0.000) (multiplicity 4)
Lu (0.000, 0.031, 0.750) (multiplicity 4)
S (0.000, 0.119, 0.556) (multiplicity 8)
S (0.000, 0.444, 0.750) (multiplicity 4)